(1)
Theoretical PXRD pattern
Compound: Ag7BrF5
Radiation: Cu Kα, 1.54184 Å
Structure: a cell relaxed with PBE
Neutral-atom scattering factors, no anomalous dispersion.

Crystal structure
Cell lengths 6.413, 6.413, 20.670 Å; angles 90.58, 90.58, 31.58 degrees
Positions (direct):
Ag 0.021 0.021 0.376
Ag 0.047 0.047 0.888
Ag 0.209 0.209 0.185
Ag 0.232 0.232 0.320
Ag 0.341 0.341 0.979
Ag 0.345 0.345 0.491
Ag 0.429 0.429 0.737
Ag 0.571 0.571 0.263
Ag 0.655 0.655 0.509
Ag 0.659 0.659 0.021
Ag 0.768 0.768 0.680
Ag 0.791 0.791 0.815
Ag 0.953 0.953 0.112
Ag 0.979 0.979 0.624
Br 0.104 0.104 0.762
Br 0.896 0.896 0.238
F 0.000 0.000 0.000
F 0.000 0.000 0.500
F 0.308 0.308 0.087
F 0.329 0.329 0.597
F 0.386 0.386 0.385
F 0.395 0.395 0.874
F 0.605 0.605 0.126
F 0.614 0.614 0.615
F 0.671 0.671 0.403
F 0.692 0.692 0.913

Most intense lines, 2θ from 15° to 90°, by angle:
d 2.819, 31.74 deg, I = 42; d 2.661, 33.68 deg, I = 38; d 2.639, 33.97 deg, I = 100; d 2.573, 34.87 deg, I = 78; d 2.392, 37.60 deg, I = 53; d 1.745, 52.43 deg, I = 49



(2)
Theoretical PXRD pattern
Compound: Ag5Br4F
Radiation: Cu Kα, 1.54184 Å
Structure: a cell relaxed with PBE
Neutral-atom scattering factors, no anomalous dispersion.

Crystal structure
Cell lengths 17.896, 17.896, 17.896 Å; angles 13.98, 13.98, 13.98 degrees
Positions (direct):
Ag 0.000 0.000 0.000
Ag 0.192 0.192 0.192
Ag 0.403 0.403 0.403
Ag 0.596 0.596 0.596
Ag 0.788 0.788 0.788
Br 0.051 0.051 0.051
Br 0.243 0.243 0.243
Br 0.647 0.647 0.647
Br 0.839 0.839 0.839
F 0.447 0.447 0.447

Most intense lines, 2θ from 15° to 90°, by angle:
d 3.553, 25.07 deg, I = 100; d 2.407, 37.36 deg, I = 11; d 2.178, 41.46 deg, I = 39; d 2.173, 41.57 deg, I = 25; d 1.856, 49.08 deg, I = 30; d 1.257, 75.67 deg, I = 14